# 1
Structure and simulated XRD peak list of Gd3As2O (a cell relaxed with GGA-PBE; Cu Kα).
No peak broadening, texture or thermal motion is included.

Structural model:
abc: 3.9404 3.9404 9.5780
angles: 90.00 90.00 120.00
Element x y z (fractional)
Gd: 0.0000 0.0000 0.0000
Gd: 0.3333 0.6667 0.3614
Gd: 0.6667 0.3333 0.6386
As: 0.3333 0.6667 0.8158
As: 0.6667 0.3333 0.1842
O: 0.0000 0.0000 0.5000

Top 6 peaks for 2θ from 5° to 70°, in order of rising 2θ:
- 27.8 deg, I 37
- 32.2 deg, I 100
- 38.6 deg, I 12
- 46.1 deg, I 38
- 46.3 deg, I 29
- 57.3 deg, I 19

# 2
Structure and simulated XRD peak list of PrSbN2O (a cell relaxed with GGA-PBE; Cu Kα).
No peak broadening, texture or thermal motion is included.

Structural model:
abc: 7.9926 5.7463 5.8045
angles: 90.00 90.00 90.00
Element x y z (fractional)
Pr: 0.0000 0.2388 0.0000
Pr: 0.0000 0.7612 0.5000
Pr: 0.5000 0.2520 0.9101
Pr: 0.5000 0.7480 0.4101
Sb: 0.2463 0.2378 0.4568
Sb: 0.2463 0.7622 0.9568
Sb: 0.7537 0.2378 0.4568
Sb: 0.7537 0.7622 0.9568
N: 0.0000 0.3498 0.4250
N: 0.0000 0.6502 0.9250
N: 0.2077 0.0502 0.7532
N: 0.2077 0.9498 0.2532
N: 0.5000 0.1750 0.4802
N: 0.5000 0.8250 0.9802
N: 0.7923 0.0502 0.7532
N: 0.7923 0.9498 0.2532
O: 0.2972 0.4618 0.1666
O: 0.2972 0.5382 0.6666
O: 0.7028 0.4618 0.1666
O: 0.7028 0.5382 0.6666

Top 6 peaks for 2θ from 5° to 70°, in order of rising 2θ:
- 30.8 deg, I 23
- 31.1 deg, I 25
- 31.3 deg, I 100
- 44.4 deg, I 23
- 55.1 deg, I 15
- 55.5 deg, I 22

# 3
Structure and simulated XRD peak list of Cu7Ag3 (a cell relaxed with GGA-PBE; Cu Kα).
No peak broadening, texture or thermal motion is included.

Structural model:
abc: 9.6775 9.6775 3.7931
angles: 90.00 90.00 157.25
Element x y z (fractional)
Cu: 0.0000 0.0000 0.0000
Cu: 0.0985 0.9015 0.5000
Cu: 0.3039 0.6961 0.5000
Cu: 0.4012 0.5988 0.0000
Cu: 0.5988 0.4012 0.0000
Cu: 0.6961 0.3039 0.5000
Cu: 0.9015 0.0985 0.5000
Ag: 0.1966 0.8034 0.0000
Ag: 0.5000 0.5000 0.5000
Ag: 0.8034 0.1966 0.0000

Top 6 peaks for 2θ from 5° to 70°, in order of rising 2θ:
- 25.3 deg, I 3
- 27.3 deg, I 3
- 41.1 deg, I 100
- 47.6 deg, I 16
- 48.0 deg, I 31
- 69.9 deg, I 19

# 4
Structure and simulated XRD peak list of Nb2PbW (a cell relaxed with GGA-PBE; Cu Kα).
No peak broadening, texture or thermal motion is included.

Structural model:
abc: 4.7405 4.7405 4.7405
angles: 60.00 60.00 60.00
Element x y z (fractional)
Nb: 0.0000 0.0000 0.0000
Nb: 0.2500 0.2500 0.2500
Pb: 0.5000 0.5000 0.5000
W: 0.7500 0.7500 0.7500

Top 6 peaks for 2θ from 5° to 70°, in order of rising 2θ:
- 23.0 deg, I 13
- 38.0 deg, I 100
- 44.8 deg, I 8
- 54.8 deg, I 17
- 60.2 deg, I 3
- 68.6 deg, I 35